This entry pairs a crystal structure of DyMg2V3S8 with its theoretical XRD peak list. Radiation: a wavelength of 1.5418 Å. Structure: DFT lattice parameters and positions (GGA-PBE).

Principal peaks in the range 2θ = 10–90°, low angle first:
- 2θ = 14.69°, d 6.030, rel. 100, (0 1 0)
- 2θ = 16.92°, d 5.241, rel. 22, (1 0 0)
- 2θ = 24.15°, d 3.686, rel. 23, (1 1 -1)
- 2θ = 28.04°, d 3.182, rel. 33, (-1 1 2)
- 2θ = 28.27°, d 3.157, rel. 75, (1 1 -2)
- 2θ = 34.22°, d 2.620, rel. 95, (2 0 0)
- 2θ = 44.94°, d 2.017, rel. 20, (2 1 0)
- 2θ = 45.06°, d 2.012, rel. 15, (0 3 -2)
- 2θ = 48.89°, d 1.863, rel. 41, (0 2 2)
- 2θ = 49.42°, d 1.844, rel. 31, (2 2 -2)

Crystal structure
Unit cell a=7.3608 b=7.3761 c=7.4485 alpha=90.12 beta=119.56 gamma=119.92
Fractional positions:
Dy 0.0000 0.0000 0.0000
Mg 0.2523 0.6261 0.8785
Mg 0.7477 0.3739 0.1215
V 0.0000 0.0000 0.5000
V 0.5000 0.0000 0.5000
V 0.5000 0.5000 0.5000
S 0.0328 0.2552 0.2882
S 0.0329 0.7778 0.2880
S 0.4759 0.2379 0.7142
S 0.4897 0.7449 0.7121
S 0.5103 0.2551 0.2879
S 0.5241 0.7621 0.2858
S 0.9671 0.2222 0.7120
S 0.9672 0.7448 0.7118